(1)
LiSi2Ag8O8: calculated powder XRD pattern (a wavelength of 1.5418 Å), based on DFT lattice parameters and positions (PBE).
No peak broadening, texture or thermal motion is included.

Atomic structure:
```
LiSi2Ag8O8
1.0
7.645 0.000 0.000
0.000 7.645 0.000
0.000 0.000 4.928
Li Si Ag O
1 2 8 8
direct
0.000 0.000 0.000
0.000 0.000 0.500
0.500 0.500 0.000
0.117 0.651 0.931
0.181 0.393 0.483
0.349 0.117 0.069
0.393 0.819 0.517
0.607 0.181 0.517
0.651 0.883 0.069
0.819 0.607 0.483
0.883 0.349 0.931
0.055 0.162 0.706
0.162 0.945 0.294
0.331 0.558 0.192
0.442 0.331 0.808
0.558 0.669 0.808
0.669 0.442 0.192
0.838 0.055 0.294
0.945 0.838 0.706
```

Peak list (10 most intense, 5° ≤ 2θ ≤ 70°, sorted by position)
2θ = 16.40°, I 12; 2θ = 31.86°, I 100; 2θ = 36.46°, I 10; 2θ = 37.19°, I 22; 2θ = 46.63°, I 9; 2θ = 53.07°, I 17; 2θ = 53.61°, I 9; 2θ = 62.74°, I 8; 2θ = 63.73°, I 12; 2θ = 66.59°, I 7

(2)
Lu2NiIr: calculated powder XRD pattern (a wavelength of 1.5418 Å), based on DFT lattice parameters and positions (PBE).
No peak broadening, texture or thermal motion is included.

Atomic structure:
```
Lu2NiIr
1.0
0.000 3.325 3.325
3.325 0.000 3.325
3.325 3.325 0.000
Lu Ni Ir
2 1 1
direct
0.250 0.250 0.250
0.750 0.750 0.750
0.000 0.000 0.000
0.500 0.500 0.500
```

Peak list (9 most intense, 5° ≤ 2θ ≤ 70°, sorted by position)
2θ = 23.17°, I 10; 2θ = 26.81°, I 3; 2θ = 38.28°, I 100; 2θ = 45.22°, I 5; 2θ = 47.35°, I 1; 2θ = 55.25°, I 17; 2θ = 60.70°, I 2; 2θ = 62.45°, I 1; 2θ = 69.21°, I 35

(3)
Er3S2OF3: calculated powder XRD pattern (a wavelength of 1.5418 Å), based on DFT lattice parameters and positions (PBE).
No peak broadening, texture or thermal motion is included.

Atomic structure:
```
Er3S2OF3
1.0
2.687 -9.480 0.000
2.687 9.480 0.000
-0.081 0.000 5.369
Er S O F
6 4 2 6
direct
0.094 0.906 0.500
0.236 0.735 0.014
0.367 0.563 0.536
0.563 0.367 0.036
0.735 0.236 0.514
0.906 0.094 0.000
0.032 0.923 0.009
0.431 0.541 0.027
0.541 0.431 0.527
0.923 0.032 0.509
0.098 0.469 0.714
0.469 0.098 0.214
0.358 0.985 0.710
0.494 0.860 0.325
0.603 0.976 0.826
0.860 0.494 0.825
0.976 0.603 0.326
0.985 0.358 0.210
```

Peak list (10 most intense, 5° ≤ 2θ ≤ 70°, sorted by position)
2θ = 27.24°, I 97; 2θ = 27.55°, I 100; 2θ = 28.24°, I 48; 2θ = 33.33°, I 54; 2θ = 33.38°, I 41; 2θ = 44.26°, I 84; 2θ = 47.52°, I 20; 2θ = 48.29°, I 21; 2θ = 55.81°, I 26; 2θ = 56.33°, I 29

(4)
CsTaCu2Te4: calculated powder XRD pattern (a wavelength of 1.5418 Å), based on DFT lattice parameters and positions (PBE).
No peak broadening, texture or thermal motion is included.

Atomic structure:
```
CsTaCu2Te4
1.0
8.364 0.000 0.000
0.000 21.130 0.000
0.000 0.000 6.055
Cs Ta Cu Te
4 4 8 16
direct
0.206 0.062 0.000
0.294 0.562 0.500
0.706 0.438 0.000
0.794 0.938 0.500
0.205 0.352 0.244
0.295 0.852 0.744
0.705 0.148 0.244
0.795 0.648 0.744
0.037 0.753 0.751
0.206 0.352 0.744
0.294 0.852 0.244
0.463 0.253 0.251
0.537 0.747 0.751
0.706 0.148 0.744
0.794 0.648 0.244
0.963 0.247 0.251
0.036 0.856 0.995
0.051 0.651 0.997
0.193 0.454 0.994
0.212 0.249 0.987
0.288 0.749 0.487
0.307 0.954 0.494
0.449 0.151 0.497
0.464 0.356 0.495
0.536 0.644 0.995
0.551 0.849 0.997
0.693 0.046 0.994
0.712 0.251 0.987
0.788 0.751 0.487
0.807 0.546 0.494
0.949 0.349 0.497
0.964 0.144 0.495
```

Peak list (10 most intense, 5° ≤ 2θ ≤ 70°, sorted by position)
2θ = 8.37°, I 30; 2θ = 13.50°, I 44; 2θ = 25.71°, I 100; 2θ = 25.89°, I 30; 2θ = 26.24°, I 62; 2θ = 40.56°, I 50; 2θ = 42.62°, I 33; 2θ = 42.80°, I 27; 2θ = 43.49°, I 22; 2θ = 45.05°, I 44

(5)
Ba3Ge16Rh4: calculated powder XRD pattern (a wavelength of 1.5418 Å), based on DFT lattice parameters and positions (PBE).
No peak broadening, texture or thermal motion is included.

Atomic structure:
```
Ba3Ge16Rh4
1.0
-3.317 3.317 11.193
3.317 -3.317 11.193
3.317 3.317 -11.193
Ba Ge Rh
3 16 4
direct
0.000 0.000 0.000
0.250 0.750 0.500
0.750 0.250 0.500
0.114 0.114 0.487
0.114 0.628 0.000
0.197 0.197 0.000
0.227 0.500 0.727
0.311 0.311 0.000
0.372 0.372 0.487
0.372 0.886 0.000
0.500 0.227 0.727
0.500 0.773 0.273
0.628 0.114 0.000
0.628 0.628 0.513
0.689 0.689 0.000
0.773 0.500 0.273
0.803 0.803 0.000
0.886 0.372 0.000
0.886 0.886 0.513
0.089 0.589 0.500
0.411 0.911 0.500
0.589 0.089 0.500
0.911 0.411 0.500
```

Peak list (10 most intense, 5° ≤ 2θ ≤ 70°, sorted by position)
2θ = 26.87°, I 22; 2θ = 30.61°, I 100; 2θ = 31.35°, I 66; 2θ = 32.47°, I 21; 2θ = 36.28°, I 31; 2θ = 38.37°, I 64; 2θ = 41.75°, I 25; 2θ = 49.86°, I 60; 2θ = 55.39°, I 42; 2θ = 56.60°, I 31

(6)
ZrIn3: calculated powder XRD pattern (a wavelength of 1.5418 Å), based on DFT lattice parameters and positions (PBE).
No peak broadening, texture or thermal motion is included.

Atomic structure:
```
ZrIn3
1.0
-2.148 2.148 4.976
2.148 -2.148 4.976
2.148 2.148 -4.976
Zr In
1 3
direct
0.000 0.000 0.000
0.250 0.750 0.500
0.500 0.500 0.000
0.750 0.250 0.500
```

Peak list (7 most intense, 5° ≤ 2θ ≤ 70°, sorted by position)
2θ = 22.54°, I 1; 2θ = 34.59°, I 100; 2θ = 36.10°, I 22; 2θ = 42.06°, I 29; 2θ = 56.60°, I 23; 2θ = 60.99°, I 9; 2θ = 63.94°, I 16